Diffraction record for Na2SnMoF8. The powder diffractogram is simulated, not measured: it uses DFT lattice parameters and positions (GGA+U) and Cu Kα (λ = 1.5418 Å).
No peak broadening, texture or thermal motion is included.

Structural model:
a = 4.919 Å, b = 5.344 Å, c = 7.389 Å
α = 89.40°, β = 89.53°, γ = 89.31°
Positions (direct):
Na: 0.003 0.005 0.244
Na: 0.997 0.995 0.756
Sn: 0.500 0.500 0.000
Mo: 0.500 0.500 0.500
F: 0.179 0.796 0.002
F: 0.217 0.766 0.501
F: 0.308 0.314 0.696
F: 0.317 0.316 0.291
F: 0.683 0.684 0.709
F: 0.692 0.686 0.304
F: 0.783 0.234 0.499
F: 0.821 0.204 0.998

Main lines, in order of rising 2θ (2θ = 10–90°):
2θ (°), intensity
16.6, 100
18.0, 72
24.1, 41
24.5, 99
24.7, 89
34.4, 42
34.8, 41
45.9, 41